No. 1
HoTh2Sc2: theoretical powder diffractogram (λ = 1.5418 Å (Cu Kα)), based on a DFT-relaxed cell (PBE, Alexandria).
Peak positions follow from Bragg's law for the DFT cell and can differ from measured ones.

Peak list (6 most intense, 2θ = 5–70°, in order of falling intensity)
- hkl 2 2 1, 33.53 deg, d = 2.672 Å, intensity 100.0
- hkl 5 0 0, 32.29 deg, d = 2.773 Å, intensity 94.2
- hkl 3 2 -1, 34.58 deg, d = 2.594 Å, intensity 86.1
- hkl 3 0 -2, 33.24 deg, d = 2.695 Å, intensity 55.0
- hkl 1 1 0, 14.36 deg, d = 6.169 Å, intensity 53.5
- hkl 2 0 2, 34.33 deg, d = 2.612 Å, intensity 50.2

Cell and atoms:
```
data_HoTh2Sc2
_cell_length_a 14.0106
_cell_length_b 6.8886
_cell_length_c 6.0462
_cell_angle_alpha 90.00
_cell_angle_beta 98.32
_cell_angle_gamma 90.00
_symmetry_space_group_name_H-M 'P 1 21/c 1'
_symmetry_Int_Tables_number 14
loop_
_symmetry_equiv_pos_as_xyz
'x,y,z'
'-x,-y,-z'
'-x,y+1/2,-z+1/2'
'x,-y+1/2,z+1/2'
loop_
_atom_site_label
_atom_site_type_symbol
_atom_site_fract_x
_atom_site_fract_y
_atom_site_fract_z
_atom_site_occupancy
Ho1 Ho 0.2004 0.1207 0.1446 1
Th1 Th 0.0026 0.6256 0.7545 1
Th2 Th 0.4022 0.1264 0.8763 1
Sc1 Sc 0.2005 0.6256 0.1470 1
Sc2 Sc 0.3994 0.6298 0.8895 1
```

No. 2
Dy3Th2In4: theoretical powder diffractogram (λ = 1.5418 Å (Cu Kα)), based on a DFT-relaxed cell (PBE, Alexandria).
Peak positions follow from Bragg's law for the DFT cell and can differ from measured ones.

Peak list (6 most intense, 2θ = 5–70°, in order of falling intensity)
- hkl 2 0 2, 32.82 deg, d = 2.728 Å, intensity 100.0
- hkl 1 5 1, 30.71 deg, d = 2.911 Å, intensity 68.5
- hkl 0 2 3, 31.88 deg, d = 2.807 Å, intensity 42.0
- hkl 2 2 1, 29.64 deg, d = 3.014 Å, intensity 40.2
- hkl 2 4 0, 33.28 deg, d = 2.692 Å, intensity 29.2
- hkl 3 5 1, 48.69 deg, d = 1.870 Å, intensity 25.0

Cell and atoms:
```
data_Dy3Th2In4
_cell_length_a 6.9011
_cell_length_b 17.2109
_cell_length_c 8.9078
_cell_angle_alpha 90.00
_cell_angle_beta 90.00
_cell_angle_gamma 90.00
_symmetry_space_group_name_H-M 'C m c e'
_symmetry_Int_Tables_number 64
_symmetry_space_group_name_Hall '-C 2ac 2'
loop_
_atom_site_label
_atom_site_type_symbol
_atom_site_fract_x
_atom_site_fract_y
_atom_site_fract_z
_atom_site_occupancy
Dy1 Dy 0.0000 0.0000 0.0000 1
Dy2 Dy 0.2500 0.2196 0.2500 1
Th1 Th 0.0000 0.1065 0.5847 1
In1 In 0.0000 0.1769 0.9529 1
In2 In 0.2500 0.0432 0.2500 1
```

No. 3
YHAu2O: theoretical powder diffractogram (λ = 1.5418 Å (Cu Kα)), based on a DFT-relaxed cell (PBE, Alexandria).
Peak positions follow from Bragg's law for the DFT cell and can differ from measured ones.

Peak list (6 most intense, 2θ = 5–70°, in order of falling intensity)
- hkl 1 1 1, 34.88 deg, d = 2.572 Å, intensity 100.0
- hkl 0 0 1, 18.18 deg, d = 4.880 Å, intensity 55.1
- hkl 2 0 0, 42.23 deg, d = 2.140 Å, intensity 33.8
- hkl 1 1 0, 29.51 deg, d = 3.027 Å, intensity 28.2
- hkl 2 0 2, 57.26 deg, d = 1.609 Å, intensity 27.4
- hkl 0 0 2, 36.84 deg, d = 2.440 Å, intensity 24.7

Cell and atoms:
```
data_YHAu2O
_cell_length_a 4.2801
_cell_length_b 4.2801
_cell_length_c 4.8800
_cell_angle_alpha 90.00
_cell_angle_beta 90.00
_cell_angle_gamma 90.00
_symmetry_space_group_name_H-M 'P 4/m m m'
_symmetry_Int_Tables_number 123
_symmetry_space_group_name_Hall '-P 4 2'
loop_
_atom_site_label
_atom_site_type_symbol
_atom_site_fract_x
_atom_site_fract_y
_atom_site_fract_z
_atom_site_occupancy
Y1 Y 0.0000 0.0000 0.0000 1
H1 H 0.5000 0.5000 0.0000 1
Au1 Au 0.0000 0.5000 0.5000 1
O1 O 0.5000 0.5000 0.5000 1
```